1.
PmY3Ho7: theoretical powder X-ray diffraction pattern (Cu Kα (λ = 1.5418 Å)), based on the GGA-PBE geometry in Alexandria.
Kinematic intensities with the Lorentz-polarization factor, no thermal factor.

Most intense lines, 5 to 70 degrees two-theta, in order of rising 2θ:
2θ/deg	I (rel.)
25.07	21
25.55	22
31.73	60
31.83	100
32.36	56
33.18	53
49.38	15
52.49	17
57.37	24
63.02	20

Crystal structure
a b c (Å): 6.9731 5.5335 9.8972
angles (deg): 90.00 110.36 90.00
Space group P2/m (No. 10)
Asymmetric unit:
Pm 0.0000 0.0000 0.0000
Y 0.2782 0.5000 0.4990
Y 0.5000 0.0000 0.0000
Ho 0.0000 0.0000 0.5000
Ho 0.1461 0.5000 0.7915
Ho 0.3236 0.5000 0.1426
Ho 0.4184 0.0000 0.3312

---

2.
Pm2Y3Ho9: theoretical powder X-ray diffraction pattern (Cu Kα (λ = 1.5418 Å)), based on the GGA-PBE geometry in Alexandria.
Kinematic intensities with the Lorentz-polarization factor, no thermal factor.

Most intense lines, 5 to 70 degrees two-theta, in order of rising 2θ:
2θ/deg	I (rel.)
30.28	35
31.53	87
31.85	47
32.43	100
32.77	17
33.36	21
43.16	12
53.80	11
57.71	11
63.70	13

Crystal structure
a b c (Å): 6.4070 8.3901 8.8766
angles (deg): 87.73 83.27 71.14
Space group P1 (No. 1)
Asymmetric unit:
Pm 0.0000 0.0000 0.0000
Pm 0.1454 0.6489 0.1962
Y 0.4685 0.0386 0.7913
Y 0.6190 0.3453 0.1630
Y 0.7967 0.5496 0.4493
Ho 0.0746 0.3887 0.9481
Ho 0.1854 0.1749 0.2828
Ho 0.3070 0.8265 0.4993
Ho 0.3420 0.3938 0.5418
Ho 0.5021 0.5838 0.8253
Ho 0.6003 0.7889 0.1209
Ho 0.7496 0.9868 0.4123
Ho 0.9197 0.1989 0.6636
Ho 0.9485 0.7383 0.7462

---

3.
Pm2YHo9: theoretical powder X-ray diffraction pattern (Cu Kα (λ = 1.5418 Å)), based on the GGA-PBE geometry in Alexandria.
Kinematic intensities with the Lorentz-polarization factor, no thermal factor.

Most intense lines, 5 to 70 degrees two-theta, in order of rising 2θ:
2θ/deg	I (rel.)
30.12	21
31.53	52
31.89	100
35.45	22
37.86	12
45.46	18
56.60	19
56.83	18
62.62	30
66.66	11

Crystal structure
a b c (Å): 11.2241 11.2241 3.4956
angles (deg): 90.00 90.00 120.00
Space group P6/mmm (No. 191)
Asymmetric unit:
Pm 0.3333 0.6667 0.0000
Y 0.0000 0.0000 0.0000
Ho 0.0000 0.5000 0.0000
Ho 0.1746 0.3492 0.5000

---

4.
Pm4Y3Ho: theoretical powder X-ray diffraction pattern (Cu Kα (λ = 1.5418 Å)), based on the GGA-PBE geometry in Alexandria.
Kinematic intensities with the Lorentz-polarization factor, no thermal factor.

Most intense lines, 5 to 70 degrees two-theta, in order of rising 2θ:
2θ/deg	I (rel.)
28.11	24
30.99	25
32.19	100
42.33	16
49.67	7
49.80	13
55.89	21
59.71	8
59.82	15
60.45	11

Crystal structure
a b c (Å): 11.5421 7.3420 6.3378
angles (deg): 90.00 90.00 90.00
Space group Pmn2_1 (No. 31)
Asymmetric unit:
Pm 0.0000 0.1261 0.0000
Pm 0.0000 0.8740 0.4980
Pm 0.2488 0.8737 0.8301
Y 0.0000 0.3769 0.4963
Y 0.2499 0.3770 0.8310
Ho 0.0000 0.6230 0.9959

---

5.
Pm2Y12Ho5: theoretical powder X-ray diffraction pattern (Cu Kα (λ = 1.5418 Å)), based on the GGA-PBE geometry in Alexandria.
Kinematic intensities with the Lorentz-polarization factor, no thermal factor.

Most intense lines, 5 to 70 degrees two-theta, in order of rising 2θ:
2θ/deg	I (rel.)
17.32	14
26.61	27
30.18	15
30.83	80
31.17	59
31.76	44
32.77	51
33.24	14
34.48	100
51.82	17

Crystal structure
a b c (Å): 8.1089 8.2236 10.6039
angles (deg): 86.92 75.19 66.64
Space group P-1 (No. 2)
Asymmetric unit:
Pm 0.1543 0.3203 0.0459
Y 0.0694 0.2928 0.7398
Y 0.1165 0.3022 0.3941
Y 0.1894 0.8326 0.7204
Y 0.2010 0.8512 0.3907
Y 0.4545 0.4884 0.1784
Y 0.4979 0.0102 0.1750
Ho 0.1981 0.8760 0.0467
Ho 0.3556 0.4314 0.5423
Ho 0.5000 0.0000 0.5000

---

6.
Pm4YHo15: theoretical powder X-ray diffraction pattern (Cu Kα (λ = 1.5418 Å)), based on the GGA-PBE geometry in Alexandria.
Kinematic intensities with the Lorentz-polarization factor, no thermal factor.

Most intense lines, 5 to 70 degrees two-theta, in order of rising 2θ:
2θ/deg	I (rel.)
30.83	100
35.74	51
51.44	36
61.14	29
61.27	14
64.22	12

Crystal structure
a b c (Å): 5.0286 5.0286 25.0760
angles (deg): 90.00 90.00 90.00
Space group P4/mmm (No. 123)
Asymmetric unit:
Pm 0.0000 0.0000 0.1001
Pm 0.0000 0.0000 0.3002
Y 0.0000 0.0000 0.5000
Ho 0.0000 0.5000 0.0000
Ho 0.0000 0.5000 0.2002
Ho 0.0000 0.5000 0.4005
Ho 0.5000 0.5000 0.1000
Ho 0.5000 0.5000 0.3005
Ho 0.5000 0.5000 0.5000

---

7.
Pm10Y4Ho: theoretical powder X-ray diffraction pattern (Cu Kα (λ = 1.5418 Å)), based on the GGA-PBE geometry in Alexandria.
Kinematic intensities with the Lorentz-polarization factor, no thermal factor.

Most intense lines, 5 to 70 degrees two-theta, in order of rising 2θ:
2θ/deg	I (rel.)
19.68	17
22.76	27
32.41	100
38.20	9
39.97	9
46.48	18
50.94	4
52.36	12
57.80	38
67.84	12

Crystal structure
a b c (Å): 12.3635 12.3635 7.8044
angles (deg): 90.00 90.00 90.00
Space group I4/m (No. 87)
Asymmetric unit:
Pm 0.0000 0.5000 0.2500
Pm 0.0991 0.8008 0.2487
Y 0.1004 0.2993 0.5000
Ho 0.0000 0.0000 0.0000

---

8.
Pm3YHo8: theoretical powder X-ray diffraction pattern (Cu Kα (λ = 1.5418 Å)), based on the GGA-PBE geometry in Alexandria.
Kinematic intensities with the Lorentz-polarization factor, no thermal factor.

Most intense lines, 5 to 70 degrees two-theta, in order of rising 2θ:
2θ/deg	I (rel.)
28.37	24
31.55	24
32.55	100
42.94	16
50.24	20
56.82	21
58.70	3
60.54	23
61.15	16
68.18	4

Crystal structure
a b c (Å): 10.8900 11.3426 6.2945
angles (deg): 90.00 90.00 90.00
Space group Imm2 (No. 44)
Asymmetric unit:
Pm 0.0000 0.0000 0.0000
Pm 0.0000 0.2504 0.6635
Y 0.0000 0.5000 0.9995
Ho 0.1669 0.5000 0.4974
Ho 0.1678 0.0000 0.4976
Ho 0.1679 0.2506 0.1674

---

9.
Pm4Y10Ho: theoretical powder X-ray diffraction pattern (Cu Kα (λ = 1.5418 Å)), based on the GGA-PBE geometry in Alexandria.
Kinematic intensities with the Lorentz-polarization factor, no thermal factor.

Most intense lines, 5 to 70 degrees two-theta, in order of rising 2θ:
2θ/deg	I (rel.)
19.84	47
22.95	1
32.67	100
38.52	26
46.88	18
51.38	11
58.31	37
62.23	9
68.47	11

Crystal structure
a b c (Å): 12.2570 12.2570 7.7512
angles (deg): 90.00 90.00 90.00
Space group I4/m (No. 87)
Asymmetric unit:
Pm 0.1007 0.2989 0.0000
Y 0.0000 0.5000 0.2500
Y 0.0989 0.8008 0.2517
Ho 0.0000 0.0000 0.5000

---

10.
Pm5Y5Ho: theoretical powder X-ray diffraction pattern (Cu Kα (λ = 1.5418 Å)), based on the GGA-PBE geometry in Alexandria.
Kinematic intensities with the Lorentz-polarization factor, no thermal factor.

Most intense lines, 5 to 70 degrees two-theta, in order of rising 2θ:
2θ/deg	I (rel.)
7.69	33
28.69	100
29.00	84
30.04	41
34.53	34
35.49	31
37.17	59
37.48	31
51.21	36
60.10	33

Crystal structure
a b c (Å): 6.1584 6.1584 11.4906
angles (deg): 90.00 90.00 120.00
Space group P-6m2 (No. 187)
Asymmetric unit:
Pm 0.0000 0.0000 0.2365
Pm 0.3405 0.1703 0.0000
Y 0.0000 0.0000 0.5000
Y 0.3333 0.6667 0.1822
Y 0.6667 0.3333 0.3403
Ho 0.3333 0.6667 0.5000

---

11.
Pm6Y12Ho: theoretical powder X-ray diffraction pattern (Cu Kα (λ = 1.5418 Å)), based on the GGA-PBE geometry in Alexandria.
Kinematic intensities with the Lorentz-polarization factor, no thermal factor.

Most intense lines, 5 to 70 degrees two-theta, in order of rising 2θ:
2θ/deg	I (rel.)
26.39	10
27.66	17
30.49	20
31.44	9
31.66	100
41.63	20
48.91	19
54.93	14
58.74	12
59.44	12

Crystal structure
a b c (Å): 11.1736 11.1736 17.5885
angles (deg): 90.00 90.00 120.00
Space group R-3m (No. 166, hexagonal axes)
Asymmetric unit:
Pm 0.0714 0.5357 0.2659
Y 0.1004 0.5502 0.9139
Y 0.1065 0.2130 0.9089
Ho 0.0000 0.0000 0.5000

---

12.
Pm4Y4Ho5: theoretical powder X-ray diffraction pattern (Cu Kα (λ = 1.5418 Å)), based on the GGA-PBE geometry in Alexandria.
Kinematic intensities with the Lorentz-polarization factor, no thermal factor.

Most intense lines, 5 to 70 degrees two-theta, in order of rising 2θ:
2θ/deg	I (rel.)
13.71	3
23.41	2
30.60	100
35.44	34
35.58	17
50.99	12
51.09	24
60.65	28
60.83	14
63.72	12

Crystal structure
a b c (Å): 12.9159 12.9159 5.0467
angles (deg): 90.00 90.00 90.00
Space group I4/m (No. 87)
Asymmetric unit:
Pm 0.0778 0.3836 0.0000
Y 0.1529 0.7708 0.0000
Ho 0.0000 0.0000 0.0000
Ho 0.0385 0.1898 0.5000